The following is a calculated powder X-ray diffraction pattern of TbDyAgPd. It was derived from DFT lattice parameters and positions (PBE), using a wavelength of 1.5418 Å.
Lines closer than 0.1° are merged.

Cell and atoms:
a b c (Å): 3.5699 3.5699 7.2168
angles (deg): 90.00 90.00 90.00
Sites, in units of the cell vectors:
Tb  0.0000  0.0000  0.0000
Dy  0.0000  0.0000  0.5215
Ag  0.5000  0.5000  0.2630
Pd  0.5000  0.5000  0.7582

Principal peaks in the range 2θ from 10° to 80°, sorted by position:
| Position (°2θ) | I (rel.) |
| --- | --- |
| 35.4 | 100 |
| 35.6 | 50 |
| 51.2 | 17 |
| 63.4 | 17 |
| 63.7 | 35 |
| 74.8 | 11 |